# 1
# Li7MnO4F2
Theoretical X-ray powder pattern, Cu Kα X-rays. Input: a cell relaxed with GGA+U.
Kinematic intensities with the Lorentz-polarization factor, no thermal factor.

The 10 most intense peaks (10 to 80 degrees two-theta), low angle first:
17.6 deg, rel. 32; 18.4 deg, rel. 47; 19.7 deg, rel. 100; 21.0 deg, rel. 40; 21.9 deg, rel. 39; 22.6 deg, rel. 33; 34.6 deg, rel. 63; 37.1 deg, rel. 48; 38.6 deg, rel. 35; 45.9 deg, rel. 22

Atomic structure:
Cell lengths 5.434, 5.786, 10.014 Å; angles 74.96, 87.50, 64.55 degrees
Space group P1 (No. 1)
Asymmetric unit:
Li  0.000  0.000  0.000 x1
Li  0.000  0.383  0.792 x1
Li  0.052  0.002  0.304 x1
Li  0.069  0.266  0.446 x1
Li  0.089  0.989  0.673 x1
Li  0.095  0.633  0.218 x1
Li  0.099  0.315  0.087 x1
Li  0.526  0.303  0.947 x1
Li  0.529  0.985  0.515 x1
Li  0.532  0.680  0.388 x1
Li  0.562  0.006  0.175 x1
Li  0.571  0.276  0.306 x1
Li  0.584  0.947  0.830 x1
Li  0.585  0.347  0.616 x1
Mn  0.056  0.651  0.520 x1
Mn  0.551  0.646  0.063 x1
O  0.230  0.885  0.497 x1
O  0.278  0.882  0.167 x1
O  0.362  0.389  0.451 x1
O  0.386  0.399  0.122 x1
O  0.715  0.891  0.018 x1
O  0.765  0.887  0.359 x1
O  0.806  0.412  0.959 x1
O  0.899  0.413  0.593 x1
F  0.226  0.950  0.848 x1
F  0.369  0.365  0.769 x1
F  0.773  0.924  0.666 x1
F  0.881  0.382  0.269 x1

***

# 2
# Li3MnO2F
Theoretical X-ray powder pattern, Cu Kα X-rays. Input: a cell relaxed with GGA+U.
Kinematic intensities with the Lorentz-polarization factor, no thermal factor.

The 10 most intense peaks (10 to 80 degrees two-theta), low angle first:
13.2 deg, rel. 89; 20.3 deg, rel. 28; 26.7 deg, rel. 92; 27.0 deg, rel. 100; 28.5 deg, rel. 61; 36.0 deg, rel. 63; 40.0 deg, rel. 49; 45.6 deg, rel. 34; 51.5 deg, rel. 29; 52.6 deg, rel. 28

Atomic structure:
Cell lengths 9.023, 9.972, 3.550 Å; angles 90.00, 90.00, 90.00 degrees
Space group Pnnm (No. 58)
Asymmetric unit:
Li  0.095  0.156  0.000 x4
Li  0.154  0.928  0.500 x4
Li  0.167  0.320  0.500 x4
Mn  0.115  0.602  0.000 x4
O  0.106  0.384  0.000 x4
O  0.170  0.122  0.500 x4
F  0.118  0.855  0.000 x4